Structure and simulated powder diffraction line list of RbCdAuCl6 (a DFT-relaxed cell (GGA-PBE, Alexandria); λ = 1.5418 Å (Cu Kα)).

Largest 12 diffraction maxima, by angle, 2θ = 10–80°:
- (0 0 1), 2θ 12.06, I = 60
- (1 0 0), 2θ 15.11, I = 20
- (1 0 1), 2θ 19.38, I = 100
- (1 1 0), 2θ 26.32, I = 30
- (2 -1 1), 2θ 29.04, I = 36
- (2 0 1), 2θ 32.89, I = 21
- (2 -1 2), 2θ 36.10, I = 74
- (3 -1 1), 2θ 42.61, I = 26
- (1 1 3), 2θ 45.76, I = 16
- (3 0 0), 2θ 46.45, I = 24
- (2 2 2), 2θ 60.20, I = 15
- (5 -1 2), 2θ 79.28, I = 13

Structure:
abc: 6.7721 6.7721 7.3376
angles: 90.00 90.00 120.00
Space group P312 (No. 149)
One atom of each set of equivalent atoms:
Rb 0.0000 0.0000 0.0000
Cd 0.3333 0.6667 0.5000
Au 0.6667 0.3333 0.5000
Cl 0.3784 0.0145 0.7006